No. 1
Theoretical XRD peak list of Ba2PmRu3O12 for Cu Kα, 1.54184 Å, from a cell relaxed with GGA-PBE.
Neutral-atom scattering factors, no anomalous dispersion.

The 10 most intense peaks (5 to 70 degrees two-theta), most intense first:
2θ (°)	Rel. int.	h k l
29.28	1000	1 1 3
30.04	674	2 0 2
28.46	605	0 2 1
30.86	596	0 1 5
49.38	559	2 2 0
46.86	416	1 2 5
24.11	359	1 1 0
45.76	327	0 3 3
59.39	281	3 1 5
53.44	276	2 0 8

Structure:
Cell: 7.3817 7.3817 16.2507 Å, 90.00 90.00 120.00°
Space group R-3m (No. 166, hexagonal axes)
One atom of each set of equivalent atoms:
Ba: 0.0000 0.0000 0.1110 x6
Pm: 0.0000 0.0000 0.5000 x3
Ru: 0.0000 0.5000 0.0000 x9
O: 0.0317 0.5158 0.8845 x18
O: 0.0732 0.5366 0.3177 x18

=====

No. 2
Theoretical XRD peak list of PrScAs2 for Cu Kα, 1.54184 Å, from a cell relaxed with GGA-PBE.
Neutral-atom scattering factors, no anomalous dispersion.

The 10 most intense peaks (5 to 70 degrees two-theta), most intense first:
2θ (°)	Rel. int.	h k l
30.85	1000	1 0 4
44.05	377	1 1 0
44.33	338	0 1 8
54.75	192	0 2 4
25.41	156	1 0 1
33.73	134	0 1 5
64.28	109	2 0 8
13.31	97	0 0 3
61.51	73	1 1 9
55.22	52	0 0 12

Structure:
Cell: 4.1112 4.1112 19.9614 Å, 90.00 90.00 120.00°
Space group R-3m (No. 166, hexagonal axes)
One atom of each set of equivalent atoms:
Pr: 0.0000 0.0000 0.0000 x3
Sc: 0.0000 0.0000 0.5000 x3
As: 0.0000 0.0000 0.2411 x6

=====

No. 3
Theoretical XRD peak list of TbEr3Tm3Se8 for Cu Kα, 1.54184 Å, from a cell relaxed with GGA-PBE.
Neutral-atom scattering factors, no anomalous dispersion.

The 10 most intense peaks (5 to 70 degrees two-theta), most intense first:
2θ (°)	Rel. int.	h k l
31.50	1000	0 2 4
45.15	736	2 2 0
56.09	257	0 0 12
27.19	160	2 0 2
65.76	119	0 4 8
53.50	81	0 4 2
13.50	59	0 0 3
26.01	55	0 2 1
15.60	51	0 1 2
22.13	46	1 0 4

Structure:
Cell: 8.0330 8.0330 19.6798 Å, 90.00 90.00 120.00°
Space group R-3m (No. 166, hexagonal axes)
One atom of each set of equivalent atoms:
Tb: 0.0000 0.0000 0.0000 x3
Er: 0.0000 0.5000 0.5000 x9
Tm: 0.0000 0.5000 0.0000 x9
Se: 0.0000 0.0000 0.2506 x6
Se: 0.0096 0.5048 0.2482 x18

=====

No. 4
Theoretical XRD peak list of Co2BMoSe for Cu Kα, 1.54184 Å, from a cell relaxed with GGA-PBE.
Neutral-atom scattering factors, no anomalous dispersion.

The 10 most intense peaks (5 to 70 degrees two-theta), most intense first:
2θ (°)	Rel. int.	h k l
29.30	1000	1 0 1
40.20	700	2 0 0
50.52	430	2 1 1
60.78	388	2 0 2
21.39	347	0 0 1
43.58	275	0 0 2
35.61	269	1 1 1
58.16	223	2 2 0
45.98	177	2 0 1
66.44	94	3 0 1

Structure:
Cell: 4.4866 4.4866 4.1533 Å, 90.00 90.00 90.00°
Space group P4/mmm (No. 123)
One atom of each set of equivalent atoms:
Co: 0.0000 0.5000 0.0000 x2
B: 0.0000 0.0000 0.5000 x1
Mo: 0.0000 0.0000 0.0000 x1
Se: 0.5000 0.5000 0.5000 x1

=====

Which formula does entry 2 have?
PrScAs2